[1]
K3SnSe3: theoretical powder XRD pattern (Cu Kα, 1.54184 Å), based on the PBE geometry in the Materials Project.

Peak list (10 most intense, 2θ = 10–90°, in order of falling intensity)
- (2 3 -1), 2θ = 28.3°, I 100.0
- (1 1 -1), 2θ = 13.3°, I 67.0
- (1 4 0), 2θ = 29.5°, I 42.9
- (1 1 -3), 2θ = 30.6°, I 36.4
- (2 1 1), 2θ = 28.9°, I 35.4
- (0 1 1), 2θ = 12.8°, I 31.7
- (1 1 1), 2θ = 19.5°, I 29.3
- (2 0 0), 2θ = 21.4°, I 27.8
- (0 2 0), 2θ = 13.6°, I 26.8
- (1 2 0), 2θ = 17.3°, I 26.4

Crystal structure
```
data_K3SnSe3
_chemical_formula_sum 'K12 Sn4 Se12'
_cell_length_a 9.229
_cell_length_b 13.026
_cell_length_c 9.052
_cell_angle_alpha 90.00
_cell_angle_beta 115.85
_cell_angle_gamma 90.00
_symmetry_space_group_name_H-M 'P 1 21/c 1'
_symmetry_Int_Tables_number 14
_symmetry_space_group_name_Hall '-P 2ybc'
loop_
_atom_site_label
_atom_site_fract_x
_atom_site_fract_y
_atom_site_fract_z
K1 0.001 0.165 0.014
K2 0.224 0.569 0.212
K3 0.441 0.212 0.811
Sn1 0.340 0.508 0.871
Se1 0.172 0.129 0.430
Se2 0.242 0.691 0.880
Se3 0.346 0.029 0.096
```

[2]
SiN2F6: theoretical powder XRD pattern (Cu Kα, 1.54184 Å), based on the PBE geometry in the Materials Project.

Peak list (10 most intense, 2θ = 10–90°, in order of falling intensity)
- (1 1 1), 2θ = 20.2°, I 100.0
- (4 0 0), 2θ = 47.8°, I 70.0
- (2 2 2), 2θ = 41.1°, I 69.2
- (2 0 0), 2θ = 23.4°, I 39.2
- (4 4 0), 2θ = 70.0°, I 30.6
- (5 1 1), 2θ = 63.6°, I 19.1
- (3 1 1), 2θ = 39.3°, I 11.0
- (5 3 1), 2θ = 73.7°, I 10.7
- (4 2 0), 2θ = 53.9°, I 10.4
- (4 4 4), 2θ = 89.2°, I 8.5

Crystal structure
```
data_SiN2F6
_chemical_formula_sum 'Si4 N8 F24'
_cell_length_a 7.605
_cell_length_b 7.605
_cell_length_c 7.605
_cell_angle_alpha 90.00
_cell_angle_beta 90.00
_cell_angle_gamma 90.00
_symmetry_space_group_name_H-M 'F m -3 m'
_symmetry_Int_Tables_number 225
_symmetry_space_group_name_Hall '-F 4 2 3'
loop_
_atom_site_label
_atom_site_fract_x
_atom_site_fract_y
_atom_site_fract_z
Si1 0.000 0.000 0.000
N1 0.250 0.250 0.250
F1 0.000 0.000 0.225
```

[3]
HfRu3: theoretical powder XRD pattern (Cu Kα, 1.54184 Å), based on the PBE geometry in the Materials Project.

Peak list (10 most intense, 2θ = 10–90°, in order of falling intensity)
- (2 0 1), 2θ = 42.0°, I 100.0
- (0 0 2), 2θ = 40.5°, I 24.8
- (2 0 0), 2θ = 36.6°, I 24.6
- (2 2 2), 2θ = 80.3°, I 19.7
- (2 0 3), 2θ = 74.7°, I 18.0
- (2 2 0), 2θ = 66.0°, I 17.2
- (2 0 2), 2θ = 55.7°, I 14.5
- (4 0 1), 2θ = 81.4°, I 14.3
- (1 0 1), 2θ = 27.0°, I 7.6
- (1 1 0), 2θ = 31.6°, I 3.2

Crystal structure
```
data_HfRu3
_chemical_formula_sum 'Hf2 Ru6'
_cell_length_a 5.6645
_cell_length_b 5.6645
_cell_length_c 4.4593
_cell_angle_alpha 90.00
_cell_angle_beta 90.00
_cell_angle_gamma 120.00
_symmetry_space_group_name_H-M 'P 63/m m c'
_symmetry_Int_Tables_number 194
_symmetry_space_group_name_Hall '-P 6c 2c'
loop_
_atom_site_label
_atom_site_fract_x
_atom_site_fract_y
_atom_site_fract_z
Hf1 0.3333 0.6667 0.2500
Ru1 0.1646 0.3292 0.7500
```

[4]
CdAs: theoretical powder XRD pattern (Cu Kα, 1.54184 Å), based on the PBE geometry in the Materials Project.

Peak list (10 most intense, 2θ = 10–90°, in order of falling intensity)
- (1 1 2), 2θ = 28.5°, I 100.0
- (1 3 2), 2θ = 43.2°, I 42.7
- (2 1 1), 2θ = 33.3°, I 36.8
- (1 2 1), 2θ = 28.9°, I 30.9
- (2 2 1), 2θ = 38.7°, I 25.8
- (2 1 3), 2θ = 46.0°, I 22.7
- (0 2 1), 2θ = 24.9°, I 22.4
- (1 3 1), 2θ = 38.6°, I 22.2
- (0 0 4), 2θ = 44.2°, I 21.2
- (2 0 0), 2θ = 29.2°, I 18.9

Crystal structure
```
data_CdAs
_chemical_formula_sum 'Cd8 As8'
_cell_length_a 6.111
_cell_length_b 7.957
_cell_length_c 8.199
_cell_angle_alpha 90.00
_cell_angle_beta 90.00
_cell_angle_gamma 90.00
_symmetry_space_group_name_H-M 'P b c a'
_symmetry_Int_Tables_number 61
_symmetry_space_group_name_Hall '-P 2ac 2ab'
loop_
_atom_site_label
_atom_site_fract_x
_atom_site_fract_y
_atom_site_fract_z
Cd1 0.047 0.130 0.138
As1 0.133 0.565 0.904
```

[5]
DyGe: theoretical powder XRD pattern (Cu Kα, 1.54184 Å), based on the PBE geometry in the Materials Project.

Peak list (10 most intense, 2θ = 10–90°, in order of falling intensity)
- (1 1 1), 2θ = 31.8°, I 100.0
- (1 3 1), 2θ = 39.8°, I 51.6
- (1 3 0), 2θ = 32.5°, I 33.2
- (0 4 0), 2θ = 33.3°, I 31.5
- (2 0 0), 2θ = 42.0°, I 25.1
- (0 2 1), 2θ = 28.0°, I 22.4
- (0 0 2), 2θ = 45.8°, I 19.6
- (2 4 0), 2θ = 54.6°, I 15.5
- (2 0 2), 2θ = 63.8°, I 14.4
- (2 4 2), 2θ = 73.9°, I 14.0

Crystal structure
```
data_DyGe
_chemical_formula_sum 'Dy4 Ge4'
_cell_length_a 4.306
_cell_length_b 10.754
_cell_length_c 3.964
_cell_angle_alpha 90.00
_cell_angle_beta 90.00
_cell_angle_gamma 90.00
_symmetry_space_group_name_H-M 'C m c m'
_symmetry_Int_Tables_number 63
_symmetry_space_group_name_Hall '-C 2c 2'
loop_
_atom_site_label
_atom_site_fract_x
_atom_site_fract_y
_atom_site_fract_z
Dy1 0.000 0.138 0.250
Ge1 0.000 0.415 0.250
```

[6]
Sb4Te3N2: theoretical powder XRD pattern (Cu Kα, 1.54184 Å), based on the PBE geometry in the Materials Project.

Peak list (10 most intense, 2θ = 10–90°, in order of falling intensity)
- (2 2 1), 2θ = 29.8°, I 100.0
- (0 4 0), 2θ = 33.2°, I 54.4
- (1 3 1), 2θ = 28.5°, I 53.9
- (1 3 2), 2θ = 31.6°, I 45.7
- (0 2 4), 2θ = 35.5°, I 41.3
- (1 1 3), 2θ = 27.4°, I 36.0
- (3 3 2), 2θ = 46.6°, I 24.6
- (3 1 1), 2θ = 37.3°, I 22.3
- (1 2 3), 2θ = 31.0°, I 20.7
- (0 1 5), 2θ = 40.2°, I 18.5

Crystal structure
```
data_Sb4Te3N2
_chemical_formula_sum 'Sb16 Te12 N8'
_cell_length_a 7.608
_cell_length_b 10.790
_cell_length_c 11.462
_cell_angle_alpha 90.00
_cell_angle_beta 90.00
_cell_angle_gamma 90.00
_symmetry_space_group_name_H-M 'P n m a'
_symmetry_Int_Tables_number 62
_symmetry_space_group_name_Hall '-P 2ac 2n'
loop_
_atom_site_label
_atom_site_fract_x
_atom_site_fract_y
_atom_site_fract_z
Sb1 0.090 0.250 0.172
Sb2 0.151 0.050 0.900
Sb3 0.236 0.750 0.025
Te1 0.056 0.750 0.239
Te2 0.115 0.555 0.642
N1 0.040 0.623 0.959
```

[7]
Na3Si34: theoretical powder XRD pattern (Cu Kα, 1.54184 Å), based on the PBE geometry in the Materials Project.

Peak list (10 most intense, 2θ = 10–90°, in order of falling intensity)
- (3 3 0), 2θ = 52.7°, I 100.0
- (0 3 3), 2θ = 31.5°, I 70.6
- (2 1 7), 2θ = 36.1°, I 52.0
- (0 2 13), 2θ = 50.7°, I 33.7
- (0 2 1), 2θ = 20.0°, I 31.8
- (3 0 0), 2θ = 29.7°, I 30.6
- (2 0 8), 2θ = 34.4°, I 30.5
- (2 0 2), 2θ = 20.9°, I 26.8
- (5 0 5), 2θ = 53.9°, I 20.1
- (0 2 4), 2θ = 24.2°, I 20.0

Crystal structure
```
data_Na3Si34
_chemical_formula_sum 'Na9 Si102'
_cell_length_a 10.4136
_cell_length_b 10.4136
_cell_length_c 25.5576
_cell_angle_alpha 90.00
_cell_angle_beta 90.00
_cell_angle_gamma 120.00
_symmetry_space_group_name_H-M 'R -3 m'
_symmetry_Int_Tables_number 166
_symmetry_space_group_name_Hall '-R 3 2"'
loop_
_atom_site_label
_atom_site_fract_x
_atom_site_fract_y
_atom_site_fract_z
Na1 0.0000 0.0000 0.0000
Na2 0.0000 0.0000 0.3750
Si1 0.0000 0.0000 0.1254
Si2 0.0000 0.0000 0.2176
Si3 0.0053 0.3869 0.6236
Si4 0.0718 0.5359 0.1647
Si5 0.0824 0.5412 0.9120
Si6 0.0860 0.5430 0.7609
```

[8]
KMg6Zn: theoretical powder XRD pattern (Cu Kα, 1.54184 Å), based on the PBE geometry in the Materials Project.

Peak list (10 most intense, 2θ = 10–90°, in order of falling intensity)
- (1 2 2), 2θ = 35.2°, I 100.0
- (1 0 4), 2θ = 35.5°, I 42.5
- (2 0 0), 2θ = 34.5°, I 35.1
- (2 2 6), 2θ = 66.4°, I 27.0
- (0 1 1), 2θ = 15.2°, I 23.7
- (0 2 2), 2θ = 30.6°, I 22.1
- (3 2 2), 2θ = 62.3°, I 17.3
- (0 2 6), 2θ = 54.8°, I 16.8
- (0 0 4), 2θ = 30.9°, I 13.7
- (2 2 2), 2θ = 46.8°, I 13.0

Crystal structure
```
data_KMg6Zn
_chemical_formula_sum 'K2 Mg12 Zn2'
_cell_length_a 5.194
_cell_length_b 6.774
_cell_length_c 11.571
_cell_angle_alpha 90.00
_cell_angle_beta 90.00
_cell_angle_gamma 90.00
_symmetry_space_group_name_H-M 'A m m 2'
_symmetry_Int_Tables_number 38
_symmetry_space_group_name_Hall 'A 2 -2'
loop_
_atom_site_label
_atom_site_fract_x
_atom_site_fract_y
_atom_site_fract_z
K1 0.000 0.000 0.000
Mg1 0.000 0.000 0.493
Mg2 0.000 0.241 0.246
Mg3 0.500 0.000 0.662
Mg4 0.500 0.229 0.402
Zn1 0.500 0.000 0.182
```

[9]
LaSn: theoretical powder XRD pattern (Cu Kα, 1.54184 Å), based on the PBE geometry in the Materials Project.

Peak list (10 most intense, 2θ = 10–90°, in order of falling intensity)
- (1 1 1), 2θ = 28.2°, I 100.0
- (1 3 1), 2θ = 35.4°, I 76.1
- (0 4 0), 2θ = 29.8°, I 31.4
- (2 0 0), 2θ = 37.2°, I 29.3
- (0 0 2), 2θ = 40.6°, I 23.1
- (1 3 0), 2θ = 29.0°, I 20.2
- (0 4 1), 2θ = 36.1°, I 18.7
- (2 0 2), 2θ = 56.2°, I 17.9
- (2 4 0), 2θ = 48.3°, I 16.6
- (0 4 2), 2θ = 51.1°, I 14.1

Crystal structure
```
data_LaSn
_chemical_formula_sum 'La4 Sn4'
_cell_length_a 4.838
_cell_length_b 12.004
_cell_length_c 4.449
_cell_angle_alpha 90.00
_cell_angle_beta 90.00
_cell_angle_gamma 90.00
_symmetry_space_group_name_H-M 'C m c m'
_symmetry_Int_Tables_number 63
_symmetry_space_group_name_Hall '-C 2c 2'
loop_
_atom_site_label
_atom_site_fract_x
_atom_site_fract_y
_atom_site_fract_z
La1 0.000 0.137 0.250
Sn1 0.000 0.414 0.250
```

[10]
BaTiO3: theoretical powder XRD pattern (Cu Kα, 1.54184 Å), based on the PBE geometry in the Materials Project.

Peak list (10 most intense, 2θ = 10–90°, in order of falling intensity)
- (1 0 1), 2θ = 30.8°, I 100.0
- (1 1 0), 2θ = 31.6°, I 46.5
- (1 1 1), 2θ = 38.3°, I 37.1
- (2 1 1), 2θ = 55.8°, I 36.7
- (2 0 0), 2θ = 45.3°, I 32.2
- (2 0 2), 2θ = 64.3°, I 19.8
- (1 1 2), 2θ = 54.4°, I 19.3
- (0 0 2), 2θ = 43.1°, I 17.9
- (1 0 0), 2θ = 22.2°, I 17.7
- (2 1 3), 2θ = 88.7°, I 10.7

Crystal structure
```
data_BaTiO3
_chemical_formula_sum 'Ba1 Ti1 O3'
_cell_length_a 4.004
_cell_length_b 4.004
_cell_length_c 4.201
_cell_angle_alpha 90.00
_cell_angle_beta 90.00
_cell_angle_gamma 90.00
_symmetry_space_group_name_H-M 'P 4 m m'
_symmetry_Int_Tables_number 99
_symmetry_space_group_name_Hall 'P 4 -2'
loop_
_atom_site_label
_atom_site_fract_x
_atom_site_fract_y
_atom_site_fract_z
Ba1 0.000 0.000 0.000
Ti1 0.500 0.500 0.520
O1 0.000 0.500 0.475
O2 0.500 0.500 0.955
```

[11]
Sb2Te2Se: theoretical powder XRD pattern (Cu Kα, 1.54184 Å), based on the PBE geometry in the Materials Project.

Peak list (10 most intense, 2θ = 10–90°, in order of falling intensity)
- (0 1 5), 2θ = 28.2°, I 100.0
- (1 1 0), 2θ = 42.6°, I 39.7
- (1 0 10), 2θ = 37.8°, I 22.7
- (1 0 13), 2θ = 45.1°, I 20.5
- (2 0 5), 2θ = 51.9°, I 18.0
- (1 1 18), 2θ = 70.1°, I 16.8
- (0 1 8), 2θ = 33.5°, I 16.4
- (1 2 5), 2θ = 69.4°, I 14.9
- (0 0 6), 2θ = 17.1°, I 10.9
- (1 0 7), 2θ = 31.6°, I 9.3

Crystal structure
```
data_Sb2Te2Se
_chemical_formula_sum 'Sb6 Te6 Se3'
_cell_length_a 4.2409
_cell_length_b 4.2409
_cell_length_c 31.1984
_cell_angle_alpha 90.00
_cell_angle_beta 90.00
_cell_angle_gamma 120.00
_symmetry_space_group_name_H-M 'R -3 m'
_symmetry_Int_Tables_number 166
_symmetry_space_group_name_Hall '-R 3 2"'
loop_
_atom_site_label
_atom_site_fract_x
_atom_site_fract_y
_atom_site_fract_z
Sb1 0.0000 0.0000 0.1091
Te1 0.0000 0.0000 0.2802
Se1 0.0000 0.0000 0.5000
```

[12]
K2RbScBr6: theoretical powder XRD pattern (Cu Kα, 1.54184 Å), based on the PBE geometry in the Materials Project.

Peak list (10 most intense, 2θ = 10–90°, in order of falling intensity)
- (4 0 0), 2θ = 30.4°, I 100.0
- (2 2 2), 2θ = 26.2°, I 75.8
- (4 4 0), 2θ = 43.5°, I 65.3
- (2 0 0), 2θ = 15.0°, I 58.5
- (6 2 2), 2θ = 51.5°, I 24.6
- (4 2 0), 2θ = 34.0°, I 23.5
- (8 4 0), 2θ = 71.7°, I 21.6
- (4 4 4), 2θ = 53.9°, I 20.4
- (3 3 1), 2θ = 33.2°, I 18.4
- (3 3 3), 2θ = 39.8°, I 15.7

Crystal structure
```
data_K2RbScBr6
_chemical_formula_sum 'K8 Rb4 Sc4 Br24'
_cell_length_a 11.779
_cell_length_b 11.779
_cell_length_c 11.779
_cell_angle_alpha 90.00
_cell_angle_beta 90.00
_cell_angle_gamma 90.00
_symmetry_space_group_name_H-M 'F m -3 m'
_symmetry_Int_Tables_number 225
_symmetry_space_group_name_Hall '-F 4 2 3'
loop_
_atom_site_label
_atom_site_fract_x
_atom_site_fract_y
_atom_site_fract_z
K1 0.250 0.250 0.250
Rb1 0.000 0.000 0.000
Sc1 0.000 0.000 0.500
Br1 0.000 0.000 0.275
```